Record 1
Tm3InN: simulated XRD peak list (Cu Kα (λ = 1.5418 Å)), based on a GGA-PBE-relaxed structure.
Lines closer than 0.1° are merged.

Most intense lines, 2θ = 10–90°, sorted by position:
d_spacing, two_theta, intensity
4.731, 18.76, 3
2.732, 32.79, 100
2.366, 38.04, 55
2.116, 42.73, 2
1.673, 54.89, 38
1.427, 65.42, 41
1.366, 68.73, 13
1.183, 81.35, 6

Crystal structure
Cell lengths 4.731, 4.731, 4.731 Å; angles 90.00, 90.00, 90.00 degrees
Positions (direct):
Tm  0.000  0.000  0.500
Tm  0.000  0.500  0.000
Tm  0.500  0.000  0.000
In  0.500  0.500  0.500
N  0.000  0.000  0.000

Record 2
CsMg6Mn: simulated XRD peak list (Cu Kα (λ = 1.5418 Å)), based on a GGA-PBE-relaxed structure.
Lines closer than 0.1° are merged.

Most intense lines, 2θ = 10–90°, sorted by position:
d_spacing, two_theta, intensity
5.853, 15.14, 35
5.357, 16.55, 31
3.957, 22.47, 56
2.947, 30.33, 33
2.679, 33.45, 35
2.582, 34.74, 100
2.568, 34.93, 47
1.982, 45.77, 20

Crystal structure
Cell lengths 5.357, 6.775, 6.775 Å; angles 60.46, 90.00, 90.00 degrees
Positions (direct):
Cs  0.000  0.000  0.000
Mg  0.000  0.501  0.994
Mg  0.000  0.994  0.501
Mg  0.500  0.337  0.337
Mg  0.500  0.365  0.806
Mg  0.500  0.806  0.365
Mg  0.500  0.817  0.817
Mn  0.000  0.506  0.506

Record 3
Si: simulated XRD peak list (Cu Kα (λ = 1.5418 Å)), based on a GGA-PBE-relaxed structure.
Lines closer than 0.1° are merged.

Most intense lines, 2θ = 10–90°, sorted by position:
d_spacing, two_theta, intensity
2.440, 36.83, 100
2.358, 38.16, 45
1.996, 45.44, 31
1.969, 46.09, 78
1.631, 56.40, 17
1.524, 60.80, 22
1.189, 80.84, 17
1.113, 87.64, 17

Crystal structure
Cell lengths 4.991, 4.991, 3.992 Å; angles 90.00, 90.00, 141.85 degrees
Positions (direct):
Si  0.104  0.896  0.750
Si  0.375  0.625  0.750
Si  0.625  0.375  0.250
Si  0.896  0.104  0.250

Record 4
SmHg2: simulated XRD peak list (Cu Kα (λ = 1.5418 Å)), based on a GGA-PBE-relaxed structure.
Lines closer than 0.1° are merged.

Most intense lines, 2θ = 10–90°, sorted by position:
d_spacing, two_theta, intensity
2.745, 32.62, 100
2.489, 36.09, 95
2.040, 44.41, 23
1.844, 49.43, 32
1.482, 62.71, 31
1.448, 64.34, 36
1.437, 64.89, 17
1.118, 87.17, 16

Crystal structure
Cell lengths 4.978, 4.978, 3.561 Å; angles 90.00, 90.00, 120.00 degrees
Positions (direct):
Sm  0.000  0.000  0.000
Hg  0.333  0.667  0.500
Hg  0.667  0.333  0.500

Record 5
CrAgSnSe4: simulated XRD peak list (Cu Kα (λ = 1.5418 Å)), based on a GGA-PBE-relaxed structure.
Lines closer than 0.1° are merged.

Most intense lines, 2θ = 10–90°, sorted by position:
d_spacing, two_theta, intensity
3.931, 22.62, 28
3.377, 26.39, 53
3.340, 26.69, 52
2.785, 32.14, 58
2.775, 32.26, 28
2.136, 42.31, 44
1.965, 46.19, 100
1.948, 46.62, 27

Crystal structure
Cell lengths 7.863, 7.863, 7.863 Å; angles 120.59, 119.16, 90.22 degrees
Positions (direct):
Cr  0.500  0.000  0.000
Cr  0.500  0.500  0.500
Ag  0.117  0.367  0.750
Ag  0.883  0.633  0.250
Sn  0.000  0.000  0.000
Sn  0.500  0.000  0.500
Se  0.270  0.262  0.492
Se  0.270  0.778  0.008
Se  0.283  0.247  0.036
Se  0.289  0.753  0.536
Se  0.711  0.247  0.464
Se  0.717  0.753  0.964
Se  0.730  0.222  0.992
Se  0.730  0.738  0.508

Record 6
Ce2Ag3Sb3: simulated XRD peak list (Cu Kα (λ = 1.5418 Å)), based on a GGA-PBE-relaxed structure.
Lines closer than 0.1° are merged.

Most intense lines, 2θ = 10–90°, sorted by position:
d_spacing, two_theta, intensity
3.016, 29.62, 100
2.908, 30.75, 43
2.132, 42.39, 37
2.093, 43.22, 67
1.720, 53.27, 36
1.349, 69.72, 16
1.339, 70.33, 15
1.223, 78.12, 23

Crystal structure
Cell lengths 3.016, 3.016, 23.262 Å; angles 90.00, 90.00, 90.00 degrees
Positions (direct):
Ce  0.000  0.000  0.249
Ce  0.000  0.000  0.751
Ag  0.000  0.000  0.000
Ag  0.000  0.000  0.379
Ag  0.000  0.000  0.621
Sb  0.000  0.000  0.117
Sb  0.000  0.000  0.500
Sb  0.000  0.000  0.883

Record 7
Cd3Co2C12N12: simulated XRD peak list (Cu Kα (λ = 1.5418 Å)), based on a GGA-PBE-relaxed structure.
Lines closer than 0.1° are merged.

Most intense lines, 2θ = 10–90°, sorted by position:
d_spacing, two_theta, intensity
5.374, 16.49, 100
3.800, 23.41, 100
2.687, 33.34, 56
2.404, 37.42, 27
2.194, 41.14, 32
1.900, 47.87, 29
1.700, 53.95, 29
1.436, 64.92, 25

Crystal structure
Cell lengths 7.598, 7.598, 10.757 Å; angles 90.00, 90.00, 90.00 degrees
Positions (direct):
Cd  0.000  0.000  0.000
Cd  0.000  0.500  0.256
Cd  0.500  0.000  0.744
Co  0.000  0.500  0.749
Co  0.500  0.000  0.251
C  0.000  0.500  0.576
C  0.000  0.500  0.923
C  0.173  0.325  0.750
C  0.173  0.675  0.750
C  0.325  0.173  0.250
C  0.325  0.827  0.250
C  0.500  0.000  0.077
C  0.500  0.000  0.424
C  0.675  0.173  0.250
C  0.675  0.827  0.250
C  0.827  0.325  0.750
C  0.827  0.675  0.750
N  0.000  0.500  0.032
N  0.000  0.500  0.467
N  0.214  0.279  0.246
N  0.214  0.721  0.246
N  0.279  0.214  0.754
N  0.279  0.786  0.754
N  0.500  0.000  0.533
N  0.500  0.000  0.968
N  0.721  0.214  0.754
N  0.721  0.786  0.754
N  0.786  0.279  0.246
N  0.786  0.721  0.246

Record 8
MgPb2N2: simulated XRD peak list (Cu Kα (λ = 1.5418 Å)), based on a GGA-PBE-relaxed structure.
Lines closer than 0.1° are merged.

Most intense lines, 2θ = 10–90°, sorted by position:
d_spacing, two_theta, intensity
4.617, 19.22, 61
2.937, 30.43, 19
2.799, 31.97, 100
2.478, 36.25, 50
2.125, 42.54, 38
1.815, 50.27, 24
1.696, 54.08, 22
1.592, 57.93, 21

Crystal structure
Cell lengths 3.392, 3.392, 9.235 Å; angles 90.00, 90.00, 120.00 degrees
Positions (direct):
Mg  0.000  0.000  0.000
Pb  0.333  0.667  0.713
Pb  0.667  0.333  0.287
N  0.333  0.667  0.138
N  0.667  0.333  0.862

Record 9
FeH12C4NCl4: simulated XRD peak list (Cu Kα (λ = 1.5418 Å)), based on a GGA-PBE-relaxed structure.
Lines closer than 0.1° are merged.

Most intense lines, 2θ = 10–90°, sorted by position:
d_spacing, two_theta, intensity
7.335, 12.07, 45
6.699, 13.22, 45
6.597, 13.42, 40
4.946, 17.93, 100
4.905, 18.09, 77
4.700, 18.88, 66
3.298, 27.03, 38
3.217, 27.73, 38

Crystal structure
Cell lengths 14.669, 6.597, 6.699 Å; angles 90.00, 90.00, 90.00 degrees
Positions (direct):
Fe  0.250  0.078  0.000
Fe  0.750  0.922  0.000
H  0.020  0.648  0.872
H  0.025  0.194  0.681
H  0.057  0.400  0.307
H  0.093  0.737  0.678
H  0.118  0.319  0.522
H  0.127  0.577  0.441
H  0.373  0.577  0.441
H  0.382  0.319  0.522
H  0.407  0.737  0.678
H  0.443  0.400  0.307
H  0.475  0.194  0.681
H  0.480  0.648  0.872
H  0.520  0.352  0.872
H  0.525  0.806  0.681
H  0.557  0.600  0.307
H  0.593  0.263  0.678
H  0.618  0.681  0.522
H  0.627  0.423  0.441
H  0.873  0.423  0.441
H  0.882  0.681  0.522
H  0.907  0.263  0.678
H  0.943  0.600  0.307
H  0.975  0.806  0.681
H  0.980  0.352  0.872
C  0.024  0.685  0.715
C  0.082  0.445  0.454
C  0.418  0.445  0.454
C  0.476  0.685  0.715
C  0.524  0.315  0.715
C  0.582  0.555  0.454
C  0.918  0.555  0.454
C  0.976  0.315  0.715
N  0.000  0.500  0.586
N  0.500  0.500  0.586
Cl  0.124  0.958  0.138
Cl  0.250  0.005  0.674
Cl  0.250  0.413  0.034
Cl  0.376  0.958  0.138
Cl  0.624  0.042  0.138
Cl  0.750  0.587  0.034
Cl  0.750  0.995  0.674
Cl  0.876  0.042  0.138

Record 10
CsSnSe3: simulated XRD peak list (Cu Kα (λ = 1.5418 Å)), based on a GGA-PBE-relaxed structure.
Lines closer than 0.1° are merged.

Most intense lines, 2θ = 10–90°, sorted by position:
d_spacing, two_theta, intensity
6.942, 12.75, 98
4.358, 20.38, 44
4.042, 21.99, 49
3.722, 23.91, 90
3.630, 24.52, 92
2.998, 29.80, 100
2.735, 32.74, 45
2.186, 41.29, 50

Crystal structure
Cell lengths 7.228, 7.645, 8.207 Å; angles 97.42, 115.03, 107.85 degrees
Positions (direct):
Cs  0.229  0.191  0.362
Cs  0.771  0.809  0.638
Sn  0.221  0.511  0.926
Sn  0.779  0.489  0.074
Se  0.183  0.614  0.621
Se  0.225  0.698  0.215
Se  0.339  0.225  0.942
Se  0.661  0.775  0.058
Se  0.775  0.302  0.785
Se  0.817  0.386  0.379

Record 11
Ba4CaZr5O15: simulated XRD peak list (Cu Kα (λ = 1.5418 Å)), based on a GGA-PBE-relaxed structure.
Lines closer than 0.1° are merged.

Most intense lines, 2θ = 10–90°, sorted by position:
d_spacing, two_theta, intensity
2.993, 29.85, 100
2.981, 29.98, 52
2.125, 42.55, 17
2.108, 42.91, 32
1.730, 52.92, 21
1.723, 53.15, 42
1.496, 62.02, 19
1.334, 70.63, 18

Crystal structure
Cell lengths 21.661, 21.661, 21.661 Å; angles 164.18, 164.18, 22.45 degrees
Positions (direct):
Ba  0.000  0.000  0.000
Ba  0.100  0.100  0.000
Ba  0.201  0.201  0.000
Ba  0.399  0.399  0.000
Ba  0.500  0.500  0.000
Ba  0.601  0.601  0.000
Ba  0.799  0.799  0.000
Ba  0.900  0.900  0.000
Ca  0.301  0.301  0.000
Ca  0.699  0.699  0.000
Zr  0.050  0.550  0.500
Zr  0.151  0.651  0.500
Zr  0.250  0.750  0.500
Zr  0.349  0.849  0.500
Zr  0.450  0.950  0.500
Zr  0.550  0.050  0.500
Zr  0.651  0.151  0.500
Zr  0.750  0.250  0.500
Zr  0.849  0.349  0.500
Zr  0.950  0.450  0.500
O  0.000  0.500  0.500
O  0.054  0.455  0.000
O  0.067  0.632  0.000
O  0.101  0.601  0.500
O  0.135  0.135  0.578
O  0.177  0.177  0.455
O  0.201  0.701  0.500
O  0.222  0.678  0.000
O  0.278  0.823  0.000
O  0.299  0.799  0.500
O  0.322  0.322  0.544
O  0.368  0.368  0.435
O  0.399  0.899  0.500
O  0.444  0.865  0.000
O  0.455  0.054  0.000
O  0.500  0.000  0.500
O  0.545  0.545  0.599
O  0.556  0.556  0.422
O  0.601  0.101  0.500
O  0.632  0.067  0.000
O  0.678  0.222  0.000
O  0.701  0.201  0.500
O  0.722  0.722  0.545
O  0.778  0.778  0.456
O  0.799  0.299  0.500
O  0.823  0.278  0.000
O  0.865  0.444  0.000
O  0.899  0.399  0.500
O  0.933  0.933  0.565
O  0.946  0.946  0.401